(1)
Theoretical PXRD pattern
Compound: HfRe5Hg3
Radiation: Cu Ka
Structure: a cell relaxed with GGA-PBE
Intensities are scaled so that the largest is 100.

Atomic structure:
Lattice parameters (Å, degrees): 6.4934 6.4934 4.5570 90.00 90.00 120.00
Fractional positions:
Hf: 0.0000 0.0000 0.0000
Re: 0.0000 0.2453 0.5000
Re: 0.2453 0.0000 0.5000
Re: 0.3333 0.6667 0.5000
Re: 0.6667 0.3333 0.5000
Re: 0.7547 0.7547 0.5000
Hg: 0.0000 0.5392 0.0000
Hg: 0.4608 0.4608 0.0000
Hg: 0.5392 0.0000 0.0000

Top 10 peaks for 15° ≤ 2θ ≤ 90°, in order of falling intensity:
Position (°2θ)	d_spacing	Rel. int.	hkl
37.59	2.393	100	2 0 1
33.90	2.644	39	1 1 1
39.55	2.279	35	0 0 2
42.53	2.125	26	2 1 0
59.47	1.554	20	2 1 2
47.18	1.926	16	2 1 1
70.46	1.336	16	2 0 3
76.79	1.241	11	3 2 1
71.34	1.322	9	2 2 2
80.23	1.196	9	4 0 2

***

(2)
Theoretical PXRD pattern
Compound: HfHgS3
Radiation: Cu Ka
Structure: a cell relaxed with GGA-PBE
Intensities are scaled so that the largest is 100.

Atomic structure:
Lattice parameters (Å, degrees): 9.2098 3.7675 14.0481 90.00 90.00 90.00
Fractional positions:
Hf: 0.1711 0.2500 0.0269
Hf: 0.3289 0.7500 0.5269
Hf: 0.6711 0.2500 0.4731
Hf: 0.8289 0.7500 0.9731
Hg: 0.0157 0.2500 0.6307
Hg: 0.4843 0.7500 0.1307
Hg: 0.5157 0.2500 0.8693
Hg: 0.9843 0.7500 0.3693
S: 0.0262 0.7500 0.1032
S: 0.1804 0.7500 0.6795
S: 0.1909 0.2500 0.4383
S: 0.3091 0.7500 0.9383
S: 0.3196 0.2500 0.1795
S: 0.4738 0.2500 0.6032
S: 0.5262 0.7500 0.3968
S: 0.6804 0.7500 0.8205
S: 0.6909 0.2500 0.0617
S: 0.8091 0.7500 0.5617
S: 0.8196 0.2500 0.3205
S: 0.9738 0.2500 0.8968

Top 10 peaks for 15° ≤ 2θ ≤ 90°, in order of falling intensity:
Position (°2θ)	d_spacing	Rel. int.	hkl
21.29	4.174	100	1 0 3
32.04	2.793	80	2 0 4
31.33	2.855	67	2 1 1
28.58	3.123	59	1 1 2
40.02	2.253	57	0 1 5
29.79	2.999	49	3 0 1
36.29	2.475	49	2 1 3
33.29	2.692	47	2 1 2
53.41	1.716	41	5 0 3
26.33	3.384	33	1 1 1

***

(3)
Theoretical PXRD pattern
Compound: Sr3HfHg2
Radiation: Cu Ka
Structure: a cell relaxed with GGA-PBE
Intensities are scaled so that the largest is 100.

Atomic structure:
Lattice parameters (Å, degrees): 3.8043 3.8043 13.6249 90.00 90.00 90.00
Fractional positions:
Sr: 0.0000 0.0000 0.0000
Sr: 0.0000 0.0000 0.3043
Sr: 0.5000 0.5000 0.5556
Hf: 0.5000 0.5000 0.8130
Hg: 0.0000 0.0000 0.7215
Hg: 0.5000 0.5000 0.1572

Top 10 peaks for 15° ≤ 2θ ≤ 90°, in order of falling intensity:
Position (°2θ)	d_spacing	Rel. int.	hkl
30.66	2.916	100	1 0 3
33.31	2.690	62	1 1 0
57.88	1.593	33	2 1 3
35.37	2.538	26	1 0 4
47.82	1.902	23	2 0 0
79.69	1.203	18	3 1 0
35.89	2.502	16	1 1 2
40.73	2.215	15	1 0 5
46.61	1.949	12	0 0 7
60.86	1.522	11	2 1 4

***

(4)
Theoretical PXRD pattern
Compound: HfHgTe
Radiation: Cu Ka
Structure: a cell relaxed with GGA-PBE
Intensities are scaled so that the largest is 100.

Atomic structure:
Lattice parameters (Å, degrees): 6.8769 6.8769 6.8769 90.00 90.00 90.00
Fractional positions:
Hf: 0.0000 0.0000 0.0000
Hf: 0.0000 0.5000 0.5000
Hf: 0.5000 0.0000 0.5000
Hf: 0.5000 0.5000 0.0000
Hg: 0.2500 0.2500 0.7500
Hg: 0.2500 0.7500 0.2500
Hg: 0.7500 0.2500 0.2500
Hg: 0.7500 0.7500 0.7500
Te: 0.2500 0.2500 0.2500
Te: 0.2500 0.7500 0.7500
Te: 0.7500 0.2500 0.7500
Te: 0.7500 0.7500 0.2500

Top 10 peaks for 15° ≤ 2θ ≤ 90°, in order of falling intensity:
Position (°2θ)	d_spacing	Rel. int.	hkl
36.97	2.431	100	2 2 0
66.62	1.404	36	4 2 2
22.39	3.970	35	1 1 1
43.65	2.073	19	3 1 1
53.28	1.719	18	4 0 0
78.71	1.216	11	4 4 0
25.91	3.438	11	2 0 0
58.50	1.578	8	3 3 1
83.09	1.162	6	5 3 1
71.25	1.323	6	5 1 1